# KNb4Bi5O18
Calculated powder diffraction line list, copper Kα. Input: a crystal structure in Alexandria, relaxed with GGA-PBE.
Neutral-atom scattering factors, no anomalous dispersion.

Crystal structure
a = 5.616 Å, b = 25.506 Å, c = 5.691 Å
α = 90.00°, β = 90.66°, γ = 90.00°
Space group Cm (No. 8)
One atom of each set of equivalent atoms:
1 K 0.000 0.000 0.000 (multiplicity 2)
2 Nb 0.003 0.415 0.004 (multiplicity 4)
3 Nb 0.499 0.416 0.493 (multiplicity 4)
4 Bi 0.048 0.299 0.590 (multiplicity 4)
5 Bi 0.475 0.000 0.552 (multiplicity 2)
6 Bi 0.484 0.299 0.091 (multiplicity 4)
7 O 0.082 0.000 0.466 (multiplicity 2)
8 O 0.085 0.344 0.963 (multiplicity 4)
9 O 0.226 0.090 0.186 (multiplicity 4)
10 O 0.228 0.433 0.248 (multiplicity 4)
11 O 0.249 0.249 0.300 (multiplicity 4)
12 O 0.279 0.431 0.733 (multiplicity 4)
13 O 0.282 0.248 0.801 (multiplicity 4)
14 O 0.300 0.083 0.680 (multiplicity 4)
15 O 0.443 0.343 0.469 (multiplicity 4)
16 O 0.467 0.000 0.940 (multiplicity 2)

The 6 most intense peaks (10 to 80 degrees two-theta), low angle first:
(1 5 -1), 28.26 deg, d 3.158, I 100
(1 5 1), 28.47 deg, d 3.135, I 94
(0 0 2), 31.44 deg, d 2.845, I 32
(2 0 0), 31.87 deg, d 2.808, I 33
(0 10 0), 35.19 deg, d 2.551, I 24
(0 10 2), 47.90 deg, d 1.899, I 24

***

# Ce6Ga3Si
Calculated powder diffraction line list, copper Kα. Input: a crystal structure in Alexandria, relaxed with GGA-PBE.
Neutral-atom scattering factors, no anomalous dispersion.

Crystal structure
a = 10.9995 Å, b = 10.9995 Å, c = 14.5425 Å
α = 90.00°, β = 90.00°, γ = 120.00°
Space group R-3m (No. 166, hexagonal axes)
One atom of each set of equivalent atoms:
1 Ce 0.1005 0.5503 0.2913 (multiplicity 18)
2 Ce 0.1011 0.5506 0.5613 (multiplicity 18)
3 Ga 0.0449 0.5225 0.9082 (multiplicity 18)
4 Si 0.0000 0.0000 0.0000 (multiplicity 3)
5 Si 0.0000 0.0000 0.5000 (multiplicity 3)

The 6 most intense peaks (10 to 80 degrees two-theta), low angle first:
(1 0 4), 26.24 deg, d 3.397, I 16
(3 0 0), 28.10 deg, d 3.175, I 37
(0 3 3), 33.74 deg, d 2.656, I 100
(1 3 1), 34.50 deg, d 2.599, I 14
(2 1 4), 35.08 deg, d 2.558, I 29
(3 3 0), 49.73 deg, d 1.833, I 26

***

# CdHg
Calculated powder diffraction line list, copper Kα. Input: a crystal structure in Alexandria, relaxed with GGA-PBE.
Neutral-atom scattering factors, no anomalous dispersion.

Crystal structure
a = 4.475 Å, b = 4.475 Å, c = 9.570 Å
α = 90.00°, β = 90.00°, γ = 90.00°
Space group I4_1/amd (No. 141, origin choice 2)
One atom of each set of equivalent atoms:
1 Cd 0.000 0.250 0.375 (multiplicity 4)
2 Hg 0.000 0.250 0.875 (multiplicity 4)

The 6 most intense peaks (10 to 80 degrees two-theta), low angle first:
(1 1 2), 33.97 deg, d 2.639, I 100
(0 0 4), 37.59 deg, d 2.393, I 19
(2 0 0), 40.31 deg, d 2.237, I 31
(2 0 4), 56.30 deg, d 1.634, I 23
(1 1 6), 65.54 deg, d 1.424, I 15
(3 1 2), 69.24 deg, d 1.357, I 25

***

# Ca2Ni5Sb3
Calculated powder diffraction line list, copper Kα. Input: a crystal structure in Alexandria, relaxed with GGA-PBE.
Neutral-atom scattering factors, no anomalous dispersion.

Crystal structure
a = 4.307 Å, b = 23.250 Å, c = 7.308 Å
α = 90.00°, β = 90.00°, γ = 90.00°
Space group Cmc2_1 (No. 36)
One atom of each set of equivalent atoms:
1 Ca 0.000 0.021 0.000 (multiplicity 4)
2 Ca 0.000 0.341 0.483 (multiplicity 4)
3 Ni 0.000 0.121 0.329 (multiplicity 4)
4 Ni 0.000 0.212 0.544 (multiplicity 4)
5 Ni 0.000 0.232 0.183 (multiplicity 4)
6 Ni 0.000 0.356 0.032 (multiplicity 4)
7 Ni 0.000 0.454 0.175 (multiplicity 4)
8 Sb 0.000 0.109 0.690 (multiplicity 4)
9 Sb 0.000 0.264 0.856 (multiplicity 4)
10 Sb 0.000 0.440 0.797 (multiplicity 4)

The 6 most intense peaks (10 to 80 degrees two-theta), low angle first:
(0 2 1), 14.32 deg, d 6.187, I 100
(1 5 1), 30.82 deg, d 2.901, I 55
(1 3 2), 34.20 deg, d 2.622, I 55
(1 9 0), 40.73 deg, d 2.215, I 59
(2 0 0), 41.95 deg, d 2.153, I 76
(1 5 3), 47.11 deg, d 1.929, I 54

***

# LiInO2F
Calculated powder diffraction line list, copper Kα. Input: a crystal structure in Alexandria, relaxed with GGA-PBE.
Neutral-atom scattering factors, no anomalous dispersion.

Crystal structure
a = 4.148 Å, b = 4.148 Å, c = 4.363 Å
α = 90.00°, β = 90.00°, γ = 90.00°
Space group P4/mmm (No. 123)
One atom of each set of equivalent atoms:
1 Li 0.000 0.000 0.000 (multiplicity 1)
2 In 0.500 0.500 0.500 (multiplicity 1)
3 O 0.000 0.500 0.500 (multiplicity 2)
4 F 0.500 0.500 0.000 (multiplicity 1)

The 6 most intense peaks (10 to 80 degrees two-theta), low angle first:
(0 0 1), 20.36 deg, d 4.363, I 52
(1 0 0), 21.42 deg, d 4.148, I 100
(1 0 1), 29.72 deg, d 3.006, I 52
(1 1 0), 30.48 deg, d 2.933, I 27
(2 0 0), 43.64 deg, d 2.074, I 26
(1 0 2), 47.07 deg, d 1.931, I 23

***

# Th8Sc3
Calculated powder diffraction line list, copper Kα. Input: a crystal structure in Alexandria, relaxed with GGA-PBE.
Neutral-atom scattering factors, no anomalous dispersion.

Crystal structure
a = 11.140 Å, b = 4.885 Å, c = 12.589 Å
α = 90.00°, β = 104.51°, γ = 90.00°
Space group C2/m (No. 12)
One atom of each set of equivalent atoms:
1 Th 0.046 0.000 0.319 (multiplicity 4)
2 Th 0.134 0.000 0.957 (multiplicity 4)
3 Th 0.182 0.500 0.774 (multiplicity 4)
4 Th 0.226 0.000 0.591 (multiplicity 4)
5 Sc 0.000 0.500 0.500 (multiplicity 2)
6 Sc 0.088 0.500 0.135 (multiplicity 4)

The 6 most intense peaks (10 to 80 degrees two-theta), low angle first:
(1 1 3), 31.31 deg, d 2.857, I 100
(3 1 -2), 31.42 deg, d 2.847, I 99
(4 0 1), 35.87 deg, d 2.503, I 35
(2 0 -5), 36.45 deg, d 2.465, I 33
(0 2 0), 36.80 deg, d 2.442, I 34
(1 3 3), 62.91 deg, d 1.477, I 28